1.
Structure and computed PXRD pattern of Tb6Sm (a crystal structure in Alexandria, relaxed with GGA-PBE; Cu Kα X-rays).
Lines closer than 0.1° are merged.

Most intense lines, 2θ from 10° to 90°, in order of falling intensity:
28.5°, intensity 100, (2 0 1); 34.8°, intensity 82, (2 1 2); 31.1°, intensity 79, (1 1 3); 31.7°, intensity 62, (2 1 1); 55.6°, intensity 54, (3 1 4); 65.8°, intensity 46, (3 3 3); 32.4°, intensity 31, (0 0 4); 39.1°, intensity 27, (2 2 0); 36.8°, intensity 26, (2 0 3); 60.9°, intensity 25, (4 1 2); 51.9°, intensity 23, (2 1 5); 43.9°, intensity 23, (3 1 0)

Structural model:
```
data_Tb6Sm
_chemical_formula_sum 'Tb12 Sm2'
_cell_length_a 6.5226
_cell_length_b 6.5226
_cell_length_c 11.0377
_cell_angle_alpha 90.00
_cell_angle_beta 90.00
_cell_angle_gamma 90.00
_space_group_name_H-M_alt 'P 4/n b m'
_space_group_IT_number 125
loop_
_space_group_symop_operation_xyz
'x,y,z'
'-x,-y,-z'
'-y+1/2,x,z'
'y+1/2,-x,-z'
'-x+1/2,-y+1/2,z'
'x+1/2,y+1/2,-z'
'y,-x+1/2,z'
'-y,x+1/2,-z'
'x,-y+1/2,-z'
'-x,y+1/2,z'
'-y+1/2,-x+1/2,-z'
'y+1/2,x+1/2,z'
'-x+1/2,y,-z'
'x+1/2,-y,z'
'y,x,-z'
'-y,-x,z'
loop_
_atom_site_label
_atom_site_fract_x
_atom_site_fract_y
_atom_site_fract_z
_atom_site_occupancy
Tb1 0.0821 0.5821 0.1376 1
Tb2 0.2500 0.2500 0.3601 1
Sm1 0.2500 0.7500 0.5000 1
```

---

2.
Structure and computed PXRD pattern of Co5CuGe3 (a crystal structure in Alexandria, relaxed with GGA-PBE; Cu Kα X-rays).
Lines closer than 0.1° are merged.

Most intense lines, 2θ from 10° to 90°, in order of falling intensity:
44.9°, intensity 100, (3 0 0); 44.4°, intensity 97, (1 1 2); 65.0°, intensity 26, (2 2 2); 82.4°, intensity 24, (4 1 2); 43.4°, intensity 13, (2 1 1); 82.8°, intensity 12, (3 3 0); 58.7°, intensity 10, (3 0 2); 35.8°, intensity 9, (0 0 2); 75.8°, intensity 7, (0 0 4); 57.9°, intensity 6, (3 1 1); 87.3°, intensity 6, (4 2 1); 69.6°, intensity 3, (2 1 3)

Structural model:
```
data_Co5CuGe3
_chemical_formula_sum 'Co10 Cu2 Ge6'
_cell_length_a 6.9963
_cell_length_b 6.9963
_cell_length_c 5.0200
_cell_angle_alpha 90.00
_cell_angle_beta 90.00
_cell_angle_gamma 120.00
_space_group_name_H-M_alt 'P 63/m c m'
_space_group_IT_number 193
_space_group_name_Hall '-P 6c 2'
loop_
_atom_site_label
_atom_site_fract_x
_atom_site_fract_y
_atom_site_fract_z
_atom_site_occupancy
Co1 0.0000 0.3089 0.2500 1
Co2 0.3333 0.6667 0.0000 1
Cu1 0.0000 0.0000 0.0000 1
Ge1 0.0000 0.3606 0.7500 1
```

---

3.
Structure and computed PXRD pattern of Pm4Nd4Mg (a crystal structure in Alexandria, relaxed with GGA-PBE; Cu Kα X-rays).
Lines closer than 0.1° are merged.

Most intense lines, 2θ from 10° to 90°, in order of falling intensity:
30.8°, intensity 100, (1 2 -2); 32.1°, intensity 82, (2 0 1); 30.7°, intensity 34, (0 2 2); 30.3°, intensity 33, (-2 2 1); 29.4°, intensity 17, (-2 1 2); 31.4°, intensity 17, (1 -3 0); 28.9°, intensity 16, (0 1 3); 56.3°, intensity 15, (3 2 -1); 56.5°, intensity 15, (3 -2 4); 41.6°, intensity 13, (1 -4 1); 59.4°, intensity 12, (-3 1 6); 46.4°, intensity 12, (1 0 5)

Structural model:
```
data_Pm4Nd4Mg
_chemical_formula_sum 'Pm8 Nd8 Mg2'
_cell_length_a 6.6640
_cell_length_b 8.6825
_cell_length_c 11.6299
_cell_angle_alpha 99.98
_cell_angle_beta 98.72
_cell_angle_gamma 109.81
_space_group_name_H-M_alt 'P -1'
_space_group_IT_number 2
_space_group_name_Hall '-P 1'
loop_
_atom_site_label
_atom_site_fract_x
_atom_site_fract_y
_atom_site_fract_z
_atom_site_occupancy
Pm1 0.0135 0.2175 0.4878 1
Pm2 0.1098 0.5006 0.2875 1
Pm3 0.1504 0.9404 0.2582 1
Pm4 0.2384 0.6566 0.0195 1
Nd1 0.2275 0.2190 0.0625 1
Nd2 0.3254 0.9403 0.8271 1
Nd3 0.3460 0.3664 0.7934 1
Nd4 0.4406 0.6506 0.6105 1
Mg1 0.4485 0.1176 0.5864 1
```

---

4.
Structure and computed PXRD pattern of ThGa2IrPt2 (a crystal structure in Alexandria, relaxed with GGA-PBE; Cu Kα X-rays).
Lines closer than 0.1° are merged.

Most intense lines, 2θ from 10° to 90°, in order of falling intensity:
37.9°, intensity 100, (1 0 2); 26.7°, intensity 83, (1 1 0); 54.9°, intensity 70, (2 1 2); 38.1°, intensity 70, (2 0 0); 55.0°, intensity 24, (2 2 0); 81.4°, intensity 23, (3 2 2); 68.8°, intensity 18, (3 0 2); 62.2°, intensity 16, (3 1 0); 81.1°, intensity 16, (2 0 4); 31.4°, intensity 11, (1 1 1); 74.8°, intensity 9, (1 1 4); 81.5°, intensity 8, (4 0 0)

Structural model:
```
data_ThGa2IrPt2
_chemical_formula_sum 'Th1 Ga2 Ir1 Pt2'
_cell_length_a 4.7219
_cell_length_b 4.7219
_cell_length_c 5.4882
_cell_angle_alpha 90.00
_cell_angle_beta 90.00
_cell_angle_gamma 90.00
_space_group_name_H-M_alt 'P 4/m m m'
_space_group_IT_number 123
_space_group_name_Hall '-P 4 2'
loop_
_atom_site_label
_atom_site_fract_x
_atom_site_fract_y
_atom_site_fract_z
_atom_site_occupancy
Th1 0.0000 0.0000 0.0000 1
Ga1 0.0000 0.5000 0.5000 1
Ir1 0.0000 0.0000 0.5000 1
Pt1 0.5000 0.5000 0.2398 1
```

---

5.
Structure and computed PXRD pattern of Cs8H (a crystal structure in Alexandria, relaxed with GGA-PBE; Cu Kα X-rays).
Lines closer than 0.1° are merged.

Most intense lines, 2θ from 10° to 90°, in order of falling intensity:
22.0°, intensity 100, (0 2 1); 20.6°, intensity 25, (0 0 2); 19.4°, intensity 23, (2 0 0); 40.0°, intensity 22, (2 2 2); 36.9°, intensity 21, (0 2 3); 33.9°, intensity 20, (2 2 0); 40.8°, intensity 17, (4 0 1); 28.4°, intensity 17, (2 0 2); 54.1°, intensity 16, (2 4 1); 51.0°, intensity 8, (4 0 3); 62.7°, intensity 7, (2 4 3); 54.9°, intensity 6, (2 2 4)

Structural model:
```
data_Cs8H
_chemical_formula_sum 'Cs8 H1'
_cell_length_a 10.5666
_cell_length_b 10.5666
_cell_length_c 8.6372
_cell_angle_alpha 90.00
_cell_angle_beta 90.00
_cell_angle_gamma 120.00
_space_group_name_H-M_alt 'P -3 m 1'
_space_group_IT_number 164
_space_group_name_Hall '-P 3 2"'
loop_
_atom_site_label
_atom_site_fract_x
_atom_site_fract_y
_atom_site_fract_z
_atom_site_occupancy
Cs1 0.1526 0.3052 0.2762 1
Cs2 0.3333 0.6667 0.7840 1
H1 0.0000 0.0000 0.5000 1
```

---

6.
Structure and computed PXRD pattern of LaNd14Cd (a crystal structure in Alexandria, relaxed with GGA-PBE; Cu Kα X-rays).
Lines closer than 0.1° are merged.

Most intense lines, 2θ from 10° to 90°, in order of falling intensity:
30.0°, intensity 100, (2 2 2); 34.9°, intensity 34, (0 4 0); 59.6°, intensity 28, (2 6 2); 50.0°, intensity 24, (4 4 0); 34.6°, intensity 17, (4 0 0); 59.2°, intensity 14, (6 2 2); 62.4°, intensity 12, (4 4 4); 50.2°, intensity 12, (0 4 4); 81.3°, intensity 12, (6 6 2); 81.6°, intensity 6, (2 6 6); 83.6°, intensity 5, (8 4 0); 84.1°, intensity 5, (4 8 0)

Structural model:
```
data_LaNd14Cd
_chemical_formula_sum 'La2 Nd28 Cd2'
_cell_length_a 10.3648
_cell_length_b 10.2789
_cell_length_c 10.2790
_cell_angle_alpha 90.00
_cell_angle_beta 90.00
_cell_angle_gamma 90.00
_space_group_name_H-M_alt 'A m m 2'
_space_group_IT_number 38
_space_group_name_Hall 'A 2 -2'
loop_
_atom_site_label
_atom_site_fract_x
_atom_site_fract_y
_atom_site_fract_z
_atom_site_occupancy
La1 0.0000 0.0000 0.0000 1
Nd1 0.0000 0.2505 0.2496 1
Nd2 0.2464 0.0000 0.2530 1
Nd3 0.2464 0.2469 0.4999 1
Nd4 0.2465 0.0000 0.7470 1
Nd5 0.5000 0.0000 0.9998 1
Nd6 0.5000 0.0000 0.5002 1
Nd7 0.5000 0.2498 0.2500 1
Cd1 0.0000 0.0000 0.4997 1
```

---

7.
Structure and computed PXRD pattern of Mg6PdRh (a crystal structure in Alexandria, relaxed with GGA-PBE; Cu Kα X-rays).
Lines closer than 0.1° are merged.

Most intense lines, 2θ from 10° to 90°, in order of falling intensity:
11.9°, intensity 100, (0 0 2); 37.1°, intensity 84, (1 1 4); 39.9°, intensity 38, (2 0 0); 70.6°, intensity 24, (3 1 4); 46.3°, intensity 21, (1 1 6); 30.4°, intensity 21, (1 1 2); 27.9°, intensity 19, (1 1 0); 41.8°, intensity 18, (2 0 2); 23.9°, intensity 17, (0 0 4); 57.7°, intensity 12, (2 2 0); 64.9°, intensity 12, (2 0 8); 47.0°, intensity 11, (2 0 4)

Structural model:
```
data_Mg6PdRh
_chemical_formula_sum 'Mg12 Pd2 Rh2'
_cell_length_a 4.5217
_cell_length_b 4.5217
_cell_length_c 14.8815
_cell_angle_alpha 90.00
_cell_angle_beta 90.00
_cell_angle_gamma 90.00
_space_group_name_H-M_alt 'I 4/m m m'
_space_group_IT_number 139
_space_group_name_Hall '-I 4 2'
loop_
_atom_site_label
_atom_site_fract_x
_atom_site_fract_y
_atom_site_fract_z
_atom_site_occupancy
Mg1 0.0000 0.0000 0.2458 1
Mg2 0.0000 0.5000 0.1017 1
Pd1 0.0000 0.0000 0.5000 1
Rh1 0.0000 0.0000 0.0000 1
```

---

8.
Structure and computed PXRD pattern of La5Pr5Bi6 (a crystal structure in Alexandria, relaxed with GGA-PBE; Cu Kα X-rays).
Lines closer than 0.1° are merged.

Most intense lines, 2θ from 10° to 90°, in order of falling intensity:
31.3°, intensity 100, (1 4 2); 32.6°, intensity 80, (2 3 1); 32.1°, intensity 62, (0 3 3); 50.1°, intensity 27, (3 4 2); 26.7°, intensity 27, (2 0 0); 41.1°, intensity 22, (1 7 1); 28.2°, intensity 21, (0 4 2); 62.0°, intensity 20, (2 10 0); 46.4°, intensity 20, (2 0 4); 65.1°, intensity 17, (4 3 3); 22.7°, intensity 15, (1 0 2); 39.6°, intensity 13, (1 0 4)

Structural model:
```
data_La5Pr5Bi6
_chemical_formula_sum 'La10 Pr10 Bi12'
_cell_length_a 6.6835
_cell_length_b 16.7571
_cell_length_c 9.6632
_cell_angle_alpha 90.00
_cell_angle_beta 90.00
_cell_angle_gamma 90.00
_space_group_name_H-M_alt 'A m m 2'
_space_group_IT_number 38
_space_group_name_Hall 'A 2 -2'
loop_
_atom_site_label
_atom_site_fract_x
_atom_site_fract_y
_atom_site_fract_z
_atom_site_occupancy
La1 0.0000 0.0000 0.0000 1
La2 0.2502 0.1663 0.7480 1
Pr1 0.0000 0.1248 0.3728 1
Pr2 0.5000 0.0000 0.4954 1
Pr3 0.5000 0.1250 0.1239 1
Bi1 0.0000 0.0000 0.6315 1
Bi2 0.0000 0.1932 0.0559 1
Bi3 0.5000 0.0000 0.8639 1
Bi4 0.5000 0.1924 0.4404 1
```

---

9.
Structure and computed PXRD pattern of Pm7PrMg2 (a crystal structure in Alexandria, relaxed with GGA-PBE; Cu Kα X-rays).
Lines closer than 0.1° are merged.

Most intense lines, 2θ from 10° to 90°, in order of falling intensity:
30.6°, intensity 100, (3 0 -2); 31.4°, intensity 37, (2 0 2); 30.5°, intensity 26, (1 1 1); 63.0°, intensity 20, (3 2 -2); 55.4°, intensity 17, (5 0 0); 28.2°, intensity 16, (1 1 0); 34.0°, intensity 13, (2 1 0); 37.3°, intensity 13, (2 1 -3); 30.8°, intensity 11, (0 1 2); 33.1°, intensity 11, (2 1 -1); 49.5°, intensity 10, (4 1 -1); 53.5°, intensity 10, (0 2 0)

Structural model:
```
data_Pm7PrMg2
_chemical_formula_sum 'Pm7 Pr1 Mg2'
_cell_length_a 8.8697
_cell_length_b 3.4224
_cell_length_c 11.6868
_cell_angle_alpha 90.00
_cell_angle_beta 110.96
_cell_angle_gamma 90.00
_space_group_name_H-M_alt 'P 1 2/m 1'
_space_group_IT_number 10
_space_group_name_Hall '-P 2y'
loop_
_atom_site_label
_atom_site_fract_x
_atom_site_fract_y
_atom_site_fract_z
_atom_site_occupancy
Pm1 0.0000 0.0000 0.0000 1
Pm2 0.1934 0.0000 0.3057 1
Pm3 0.2202 0.0000 0.8103 1
Pm4 0.3976 0.5000 0.1146 1
Pr1 0.0000 0.5000 0.5000 1
Mg1 0.4012 0.0000 0.6024 1
```

---

10.
Structure and computed PXRD pattern of PrInRu (a crystal structure in Alexandria, relaxed with GGA-PBE; Cu Kα X-rays).
Lines closer than 0.1° are merged.

Most intense lines, 2θ from 10° to 90°, in order of falling intensity:
34.3°, intensity 100, (2 2 1); 41.5°, intensity 96, (1 5 1); 37.3°, intensity 82, (2 0 2); 31.7°, intensity 80, (0 4 1); 38.8°, intensity 76, (0 2 3); 32.1°, intensity 66, (2 2 0); 28.6°, intensity 53, (1 1 2); 35.5°, intensity 53, (1 3 2); 55.8°, intensity 49, (2 4 3); 59.5°, intensity 40, (3 5 1); 27.9°, intensity 28, (0 2 2); 58.8°, intensity 26, (4 0 0)

Structural model:
```
data_PrInRu
_chemical_formula_sum 'Pr8 In8 Ru8'
_cell_length_a 6.2809
_cell_length_b 12.1892
_cell_length_c 7.5203
_cell_angle_alpha 90.00
_cell_angle_beta 90.00
_cell_angle_gamma 90.00
_space_group_name_H-M_alt 'C m c e'
_space_group_IT_number 64
_space_group_name_Hall '-C 2ac 2'
loop_
_atom_site_label
_atom_site_fract_x
_atom_site_fract_y
_atom_site_fract_z
_atom_site_occupancy
Pr1 0.0000 0.1928 0.1071 1
In1 0.2500 0.0525 0.7500 1
Ru1 0.0000 0.1012 0.4493 1
```

---

11.
Structure and computed PXRD pattern of CaCu6Rh2 (a crystal structure in Alexandria, relaxed with GGA-PBE; Cu Kα X-rays).
Lines closer than 0.1° are merged.

Most intense lines, 2θ from 10° to 90°, in order of falling intensity:
39.9°, intensity 100, (1 2 1); 44.0°, intensity 75, (1 0 5); 42.0°, intensity 69, (2 0 0); 18.0°, intensity 64, (0 1 1); 40.8°, intensity 50, (1 1 4); 45.5°, intensity 30, (0 2 4); 63.6°, intensity 22, (2 2 4); 28.1°, intensity 16, (0 1 3); 54.9°, intensity 14, (1 3 0); 85.7°, intensity 14, (1 2 9); 75.3°, intensity 14, (3 2 1); 85.5°, intensity 14, (1 4 5)

Structural model:
```
data_CaCu6Rh2
_chemical_formula_sum 'Ca2 Cu12 Rh4'
_cell_length_a 4.3074
_cell_length_b 5.4467
_cell_length_c 11.7182
_cell_angle_alpha 90.00
_cell_angle_beta 90.00
_cell_angle_gamma 90.00
_space_group_name_H-M_alt 'I m m m'
_space_group_IT_number 71
_space_group_name_Hall '-I 2 2'
loop_
_atom_site_label
_atom_site_fract_x
_atom_site_fract_y
_atom_site_fract_z
_atom_site_occupancy
Ca1 0.0000 0.0000 0.0000 1
Cu1 0.0000 0.2047 0.5000 1
Cu2 0.0000 0.2361 0.2980 1
Rh1 0.0000 0.5000 0.1138 1
```